Record 1
The following is a calculated X-ray diffraction stick pattern of Ho5Al2Sn. It was derived from a crystal structure in Alexandria, relaxed with GGA-PBE, using copper Kα.
Lines closer than 0.1° are merged.

Atomic structure:
```
data_Ho5Al2Sn
_chemical_formula_sum 'Ho10 Al4 Sn2'
_cell_length_a 8.813
_cell_length_b 8.813
_cell_length_c 8.813
_cell_angle_alpha 126.39
_cell_angle_beta 126.39
_cell_angle_gamma 79.25
_symmetry_space_group_name_H-M 'P 1'
_symmetry_Int_Tables_number 1
loop_
_symmetry_equiv_pos_as_xyz
'x,y,z'
loop_
_atom_site_label
_atom_site_type_symbol
_atom_site_fract_x
_atom_site_fract_y
_atom_site_fract_z
Ho1 Ho 0.000 0.000 0.000
Ho2 Ho 0.017 0.517 0.827
Ho3 Ho 0.189 0.017 0.500
Ho4 Ho 0.311 0.811 0.827
Ho5 Ho 0.483 0.311 0.500
Ho6 Ho 0.500 0.500 0.000
Ho7 Ho 0.517 0.689 0.500
Ho8 Ho 0.689 0.189 0.173
Ho9 Ho 0.811 0.983 0.500
Ho10 Ho 0.983 0.483 0.173
Al1 Al 0.126 0.374 0.500
Al2 Al 0.374 0.874 0.248
Al3 Al 0.626 0.126 0.752
Al4 Al 0.874 0.626 0.500
Sn1 Sn 0.250 0.250 0.000
Sn2 Sn 0.750 0.750 0.000
```

Largest 12 diffraction maxima, low angle first, 10 to 90 degrees two-theta:
2θ 25.92, 3.438 Å, I = 51
2θ 30.77, 2.906 Å, I = 37
2θ 31.84, 2.810 Å, I = 19
2θ 32.02, 2.796 Å, I = 100
2θ 34.76, 2.581 Å, I = 48
2θ 35.72, 2.514 Å, I = 63
2θ 51.53, 1.774 Å, I = 20
2θ 53.43, 1.715 Å, I = 14
2θ 53.84, 1.703 Å, I = 19
2θ 56.07, 1.640 Å, I = 27
2θ 66.49, 1.406 Å, I = 14
2θ 66.65, 1.403 Å, I = 14



Record 2
The following is a calculated X-ray diffraction stick pattern of Tb6Ho12Al. It was derived from a crystal structure in Alexandria, relaxed with GGA-PBE, using copper Kα.
Lines closer than 0.1° are merged.

Atomic structure:
```
data_Tb6Ho12Al
_chemical_formula_sum 'Tb6 Ho12 Al1'
_cell_length_a 8.389
_cell_length_b 8.389
_cell_length_c 8.389
_cell_angle_alpha 88.78
_cell_angle_beta 88.78
_cell_angle_gamma 88.78
_symmetry_space_group_name_H-M 'P 1'
_symmetry_Int_Tables_number 1
loop_
_symmetry_equiv_pos_as_xyz
'x,y,z'
loop_
_atom_site_label
_atom_site_type_symbol
_atom_site_fract_x
_atom_site_fract_y
_atom_site_fract_z
Tb1 Tb 0.206 0.758 0.594
Tb2 Tb 0.242 0.406 0.794
Tb3 Tb 0.406 0.794 0.242
Tb4 Tb 0.594 0.206 0.758
Tb5 Tb 0.758 0.594 0.206
Tb6 Tb 0.794 0.242 0.406
Ho1 Ho 0.039 0.936 0.281
Ho2 Ho 0.064 0.719 0.961
Ho3 Ho 0.141 0.486 0.317
Ho4 Ho 0.281 0.039 0.936
Ho5 Ho 0.317 0.141 0.486
Ho6 Ho 0.486 0.317 0.141
Ho7 Ho 0.514 0.683 0.859
Ho8 Ho 0.683 0.859 0.514
Ho9 Ho 0.719 0.961 0.064
Ho10 Ho 0.859 0.514 0.683
Ho11 Ho 0.936 0.281 0.039
Ho12 Ho 0.961 0.064 0.719
Al1 Al 0.500 0.500 0.500
```

Largest 12 diffraction maxima, low angle first, 10 to 90 degrees two-theta:
2θ 23.53, 3.782 Å, I = 15
2θ 23.93, 3.719 Å, I = 13
2θ 31.41, 2.848 Å, I = 38
2θ 32.02, 2.795 Å, I = 25
2θ 32.33, 2.769 Å, I = 100
2θ 33.59, 2.668 Å, I = 70
2θ 34.02, 2.635 Å, I = 26
2θ 35.58, 2.523 Å, I = 16
2θ 45.97, 1.974 Å, I = 15
2θ 54.14, 1.694 Å, I = 11
2θ 56.52, 1.628 Å, I = 18
2θ 67.70, 1.384 Å, I = 12



Record 3
The following is a calculated X-ray diffraction stick pattern of Tb4HoAl2. It was derived from a crystal structure in Alexandria, relaxed with GGA-PBE, using copper Kα.
Lines closer than 0.1° are merged.

Atomic structure:
```
data_Tb4HoAl2
_chemical_formula_sum 'Tb8 Ho2 Al4'
_cell_length_a 6.003
_cell_length_b 10.349
_cell_length_c 6.818
_cell_angle_alpha 90.00
_cell_angle_beta 110.57
_cell_angle_gamma 90.00
_symmetry_space_group_name_H-M 'P 1'
_symmetry_Int_Tables_number 1
loop_
_symmetry_equiv_pos_as_xyz
'x,y,z'
loop_
_atom_site_label
_atom_site_type_symbol
_atom_site_fract_x
_atom_site_fract_y
_atom_site_fract_z
Tb1 Tb 0.003 0.208 0.001
Tb2 Tb 0.003 0.292 0.501
Tb3 Tb 0.496 0.659 0.000
Tb4 Tb 0.496 0.841 0.500
Tb5 Tb 0.504 0.159 0.500
Tb6 Tb 0.504 0.341 0.000
Tb7 Tb 0.997 0.708 0.499
Tb8 Tb 0.997 0.792 0.999
Ho1 Ho 0.500 0.000 0.000
Ho2 Ho 0.500 0.500 0.500
Al1 Al 0.012 0.001 0.317
Al2 Al 0.012 0.499 0.817
Al3 Al 0.988 0.501 0.183
Al4 Al 0.988 0.999 0.683
```

Largest 12 diffraction maxima, low angle first, 10 to 90 degrees two-theta:
2θ 17.14, 5.175 Å, I = 14
2θ 23.37, 3.807 Å, I = 24
2θ 27.96, 3.192 Å, I = 73
2θ 31.06, 2.879 Å, I = 100
2θ 31.85, 2.810 Å, I = 65
2θ 32.02, 2.795 Å, I = 21
2θ 34.32, 2.613 Å, I = 42
2θ 35.90, 2.501 Å, I = 69
2θ 47.95, 1.897 Å, I = 25
2θ 50.23, 1.816 Å, I = 21
2θ 52.98, 1.728 Å, I = 22
2θ 62.46, 1.487 Å, I = 14



Record 4
The following is a calculated X-ray diffraction stick pattern of TbHo5Al3. It was derived from a crystal structure in Alexandria, relaxed with GGA-PBE, using copper Kα.
Lines closer than 0.1° are merged.

Atomic structure:
```
data_TbHo5Al3
_chemical_formula_sum 'Tb2 Ho10 Al6'
_cell_length_a 9.048
_cell_length_b 9.048
_cell_length_c 6.614
_cell_angle_alpha 90.00
_cell_angle_beta 90.00
_cell_angle_gamma 120.00
_symmetry_space_group_name_H-M 'P 1'
_symmetry_Int_Tables_number 1
loop_
_symmetry_equiv_pos_as_xyz
'x,y,z'
loop_
_atom_site_label
_atom_site_type_symbol
_atom_site_fract_x
_atom_site_fract_y
_atom_site_fract_z
Tb1 Tb 0.000 0.000 0.000
Tb2 Tb 0.000 0.000 0.500
Ho1 Ho 0.000 0.333 0.250
Ho2 Ho 0.000 0.667 0.750
Ho3 Ho 0.333 0.000 0.250
Ho4 Ho 0.333 0.333 0.750
Ho5 Ho 0.333 0.667 0.000
Ho6 Ho 0.333 0.667 0.500
Ho7 Ho 0.667 0.000 0.750
Ho8 Ho 0.667 0.333 0.000
Ho9 Ho 0.667 0.333 0.500
Ho10 Ho 0.667 0.667 0.250
Al1 Al 0.000 0.335 0.750
Al2 Al 0.000 0.665 0.250
Al3 Al 0.335 0.000 0.750
Al4 Al 0.335 0.335 0.250
Al5 Al 0.665 0.000 0.250
Al6 Al 0.665 0.665 0.750
```

Largest 12 diffraction maxima, low angle first, 10 to 90 degrees two-theta:
2θ 19.62, 4.524 Å, I = 12
2θ 23.83, 3.734 Å, I = 50
2θ 33.57, 2.670 Å, I = 100
2θ 34.33, 2.612 Å, I = 88
2θ 42.22, 2.140 Å, I = 11
2θ 48.78, 1.867 Å, I = 35
2θ 55.54, 1.655 Å, I = 18
2θ 61.00, 1.519 Å, I = 36
2θ 61.49, 1.508 Å, I = 16
2θ 66.98, 1.397 Å, I = 26
2θ 82.16, 1.173 Å, I = 16
2θ 87.55, 1.114 Å, I = 14